Record 1
Diffraction record for SmCu2Pd6. The X-ray diffraction stick pattern is simulated, not measured: it uses a crystal structure in Alexandria, relaxed with GGA-PBE and Cu Ka.

Most intense lines, 2θ = 10–90°, in order of rising 2θ:
| 2θ (°) | Rel. int. |
| --- | --- |
| 26.30 | 294 |
| 27.49 | 60 |
| 31.85 | 687 |
| 41.76 | 164 |
| 45.67 | 1000 |
| 56.75 | 171 |
| 63.59 | 63 |
| 66.57 | 155 |
| 75.70 | 213 |
| 84.46 | 314 |

Structural model:
```
SmCu2Pd6
1.0
0.0000 5.6191 5.6191
5.6191 0.0000 5.6191
5.6191 5.6191 0.0000
Sm Cu Pd
2 4 12
Direct
0.1250 0.1250 0.1250
0.8750 0.8750 0.8750
0.0000 0.5000 0.5000
0.5000 0.0000 0.5000
0.5000 0.5000 0.0000
0.5000 0.5000 0.5000
0.1176 0.1176 0.6324
0.1176 0.6324 0.1176
0.1176 0.6324 0.6324
0.3676 0.3676 0.8824
0.3676 0.8824 0.3676
0.3676 0.8824 0.8824
0.6324 0.1176 0.1176
0.6324 0.1176 0.6324
0.6324 0.6324 0.1176
0.8824 0.3676 0.3676
0.8824 0.3676 0.8824
0.8824 0.8824 0.3676
```

=====

Record 2
Diffraction record for LiBrF6. The X-ray diffraction stick pattern is simulated, not measured: it uses a crystal structure in Alexandria, relaxed with GGA-PBE and Cu Ka.

Most intense lines, 2θ = 10–90°, in order of rising 2θ:
| 2θ (°) | Rel. int. |
| --- | --- |
| 18.23 | 724 |
| 19.40 | 970 |
| 20.60 | 1000 |
| 24.54 | 832 |
| 26.74 | 432 |
| 30.44 | 300 |
| 41.54 | 736 |
| 45.93 | 294 |
| 54.97 | 214 |
| 63.75 | 196 |

Structural model:
```
LiBrF6
1.0
5.0339 0.0000 0.0000
0.0000 9.1489 0.0000
-1.1930 0.0000 4.8675
Li Br F
2 2 12
Direct
0.0000 0.0000 0.0000
0.5000 0.5000 0.0000
0.0000 0.5000 0.5000
0.5000 0.0000 0.5000
0.2212 0.3593 0.7315
0.2212 0.6407 0.7315
0.2464 0.5000 0.2670
0.2536 0.0000 0.7330
0.2788 0.1407 0.2685
0.2788 0.8593 0.2685
0.7212 0.1407 0.7315
0.7212 0.8593 0.7315
0.7464 0.0000 0.2670
0.7536 0.5000 0.7330
0.7788 0.3593 0.2685
0.7788 0.6407 0.2685
```